Structure and theoretical powder X-ray diffraction pattern of SmV2F8 (a crystal structure in Alexandria, relaxed with GGA+U; Cu Kα (weighted mean of Kα1 and Kα2)).
Lines closer than 0.1° are merged.

Most intense lines, 10 to 80 degrees two-theta, in order of falling intensity:
hkl  two_theta  d [Å]  I (rel.)
1 1 1  25.39  3.508  100
1 1 -1  22.41  3.967  95
2 0 -1  23.31  3.815  88
0 2 0  27.54  3.238  68
1 1 0  16.93  5.238  68
2 2 1  40.28  2.239  67
3 1 -2  43.20  2.094  51
3 1 2  52.93  1.730  39
2 0 1  28.81  3.099  35
1 3 1  47.41  1.918  34

Atomic structure:
Unit cell a=9.1041 b=6.4769 c=5.3911 alpha=90.00 beta=102.00 gamma=90.00
Space group C2/m (No. 12)
Inequivalent atoms, fractional coordinates:
1 Sm 0.0000 0.0000 0.0000 x2
2 V 0.1855 0.5000 0.4726 x4
3 F 0.0515 0.5000 0.7280 x4
4 F 0.1541 0.0000 0.7383 x4
5 F 0.1599 0.2014 0.2883 x8